No. 1
For Rb2Tl6In2Hg, a cell relaxed with PBE gives the calculated XRD peak list in this record (λ = 1.5418 Å (Cu Kα)).
Peak positions follow from Bragg's law for the DFT cell and can differ from measured ones.

Cell and atoms:
abc: 8.2585 8.2585 23.0260
angles: 90.00 90.00 120.00
Space group R-3m (No. 166, hexagonal axes)
Symmetry-distinct sites (fractional):
Rb1 0.0000 0.0000 0.2262 x6
Tl1 0.0702 0.5351 0.2917 x18
In1 0.0000 0.0000 0.0689 x6
Hg1 0.0000 0.0000 0.5000 x3

Top 8 peaks for 5 to 70 degrees two-theta, most intense first:
| 2θ (°) | I/Imax | (hkl) |
| --- | --- | --- |
| 11.53 | 100.0 | 0 0 3 |
| 29.90 | 96.3 | 1 0 7 |
| 31.68 | 93.7 | 2 0 5 |
| 34.07 | 66.1 | 1 2 2 |
| 14.58 | 62.0 | 0 1 2 |
| 39.58 | 57.5 | 0 3 3 |
| 33.37 | 57.0 | 2 1 1 |
| 26.09 | 53.0 | 2 0 2 |

No. 2
For LuTiNiRh, a cell relaxed with PBE gives the calculated XRD peak list in this record (λ = 1.5418 Å (Cu Kα)).
Peak positions follow from Bragg's law for the DFT cell and can differ from measured ones.

Cell and atoms:
abc: 6.4114 6.4114 6.4114
angles: 90.00 90.00 90.00
Space group F-43m (No. 216)
Symmetry-distinct sites (fractional):
Lu1 0.0000 0.0000 0.0000 x4
Ti1 0.0000 0.0000 0.5000 x4
Ni1 0.2500 0.2500 0.2500 x4
Rh1 0.2500 0.2500 0.7500 x4

Top 8 peaks for 5 to 70 degrees two-theta, most intense first:
| 2θ (°) | I/Imax | (hkl) |
| --- | --- | --- |
| 39.77 | 100.0 | 2 2 0 |
| 24.04 | 27.6 | 1 1 1 |
| 57.50 | 16.6 | 4 0 0 |
| 47.01 | 14.7 | 3 1 1 |
| 63.22 | 6.3 | 3 3 1 |
| 27.83 | 2.0 | 2 0 0 |
| 65.06 | 0.8 | 4 2 0 |
| 49.23 | 0.6 | 2 2 2 |

No. 3
For Sm5Tm3As8, a cell relaxed with PBE gives the calculated XRD peak list in this record (λ = 1.5418 Å (Cu Kα)).
Peak positions follow from Bragg's law for the DFT cell and can differ from measured ones.

Cell and atoms:
abc: 8.3179 8.3179 20.3682
angles: 90.00 90.00 120.00
Space group R-3m (No. 166, hexagonal axes)
Symmetry-distinct sites (fractional):
Sm1 0.0000 0.0000 0.0000 x3
Sm2 0.0000 0.0000 0.5000 x3
Sm3 0.0000 0.5000 0.0000 x9
Tm1 0.0000 0.5000 0.5000 x9
As1 0.0000 0.0000 0.2469 x6
As2 0.0042 0.5021 0.7521 x18

Top 8 peaks for 5 to 70 degrees two-theta, most intense first:
| 2θ (°) | I/Imax | (hkl) |
| --- | --- | --- |
| 30.40 | 100.0 | 0 2 4 |
| 43.53 | 74.6 | 2 2 0 |
| 54.01 | 26.3 | 4 0 4 |
| 26.25 | 21.8 | 0 0 6 |
| 63.25 | 12.2 | 0 4 8 |
| 51.54 | 10.9 | 0 2 10 |
| 69.69 | 4.5 | 2 0 14 |
| 13.04 | 0.6 | 0 0 3 |

No. 4
For Na2ZnF6, a cell relaxed with PBE gives the calculated XRD peak list in this record (λ = 1.5418 Å (Cu Kα)).
Peak positions follow from Bragg's law for the DFT cell and can differ from measured ones.

Cell and atoms:
abc: 5.5406 5.8830 9.1397
angles: 90.00 121.67 90.00
Space group P2_1/c (No. 14)
Symmetry-distinct sites (fractional):
Na1 0.2031 0.0722 0.2380 x4
Zn1 0.5000 0.0000 0.0000 x2
F1 0.1778 0.1787 0.9563 x4
F2 0.2518 0.7406 0.9120 x4
F3 0.4167 0.0733 0.7745 x4

Top 8 peaks for 5 to 70 degrees two-theta, most intense first:
| 2θ (°) | I/Imax | (hkl) |
| --- | --- | --- |
| 18.89 | 100.0 | 0 1 1 |
| 20.61 | 28.6 | 1 0 -2 |
| 36.85 | 19.9 | 2 1 -1 |
| 30.85 | 19.6 | 1 1 1 |
| 35.98 | 19.3 | 1 2 0 |
| 33.12 | 16.3 | 1 1 -3 |
| 45.06 | 14.5 | 2 2 -2 |
| 22.09 | 12.6 | 1 1 -1 |

No. 5
For NdSmTe2Se, a cell relaxed with PBE gives the calculated XRD peak list in this record (λ = 1.5418 Å (Cu Kα)).
Peak positions follow from Bragg's law for the DFT cell and can differ from measured ones.

Cell and atoms:
abc: 4.4036 4.4036 15.8220
angles: 90.00 90.00 90.00
Space group P4/nmm (No. 129, origin choice 2)
Symmetry-distinct sites (fractional):
Nd1 0.2500 0.2500 0.1307 x2
Sm1 0.2500 0.2500 0.5914 x2
Te1 0.2500 0.2500 0.3892 x2
Te2 0.2500 0.2500 0.7919 x2
Se1 0.2500 0.7500 0.0000 x2

Top 8 peaks for 5 to 70 degrees two-theta, most intense first:
| 2θ (°) | I/Imax | (hkl) |
| --- | --- | --- |
| 28.67 | 100.0 | 1 1 0 |
| 40.99 | 68.8 | 2 0 0 |
| 36.73 | 68.7 | 1 1 4 |
| 28.20 | 35.1 | 0 0 5 |
| 34.92 | 29.7 | 1 0 5 |
| 50.50 | 28.8 | 2 0 5 |
| 29.23 | 25.8 | 1 1 1 |
| 33.42 | 24.1 | 1 1 3 |

No. 6
For Pm2GaPb2, a cell relaxed with PBE gives the calculated XRD peak list in this record (λ = 1.5418 Å (Cu Kα)).
Peak positions follow from Bragg's law for the DFT cell and can differ from measured ones.

Cell and atoms:
abc: 4.8092 4.8092 14.5815
angles: 90.00 90.00 120.00
Space group P6_3/mmc (No. 194)
Symmetry-distinct sites (fractional):
Pm1 0.3333 0.6667 0.1104 x4
Ga1 0.0000 0.0000 0.2500 x2
Pb1 0.0000 0.0000 0.0000 x2
Pb2 0.3333 0.6667 0.7500 x2

Top 8 peaks for 5 to 70 degrees two-theta, most intense first:
| 2θ (°) | I/Imax | (hkl) |
| --- | --- | --- |
| 28.22 | 100.0 | 1 0 3 |
| 37.40 | 90.5 | 1 1 0 |
| 32.64 | 42.3 | 1 0 4 |
| 24.62 | 36.5 | 1 0 2 |
| 64.11 | 31.0 | 1 1 8 |
| 47.50 | 24.4 | 2 0 3 |
| 61.96 | 22.2 | 2 1 3 |
| 37.65 | 19.8 | 1 0 5 |

No. 7
For Pt2SeO2, a cell relaxed with PBE gives the calculated XRD peak list in this record (λ = 1.5418 Å (Cu Kα)).
Peak positions follow from Bragg's law for the DFT cell and can differ from measured ones.

Cell and atoms:
abc: 7.2583 7.2583 2.9226
angles: 90.00 90.00 90.00
Space group P4/mbm (No. 127)
Symmetry-distinct sites (fractional):
Pt1 0.2351 0.2649 0.0000 x4
Se1 0.0000 0.0000 0.0000 x2
O1 0.1306 0.6306 0.5000 x4

Top 8 peaks for 5 to 70 degrees two-theta, most intense first:
| 2θ (°) | I/Imax | (hkl) |
| --- | --- | --- |
| 24.53 | 100.0 | 2 0 0 |
| 34.96 | 92.5 | 2 2 0 |
| 47.13 | 80.4 | 2 2 1 |
| 30.59 | 59.6 | 0 0 1 |
| 39.59 | 56.8 | 2 0 1 |
| 60.01 | 41.6 | 4 0 1 |
| 50.28 | 27.4 | 4 0 0 |
| 65.82 | 22.6 | 4 2 1 |